Record 1
Er2Ag3Hg4: simulated powder diffraction line list (a wavelength of 1.5418 Å), based on a crystal structure in Alexandria, relaxed with GGA-PBE.
Kinematic intensities with the Lorentz-polarization factor, no thermal factor.

Structural model:
a b c (Å): 8.313 8.313 8.794
angles (deg): 90.00 90.00 137.40
Sites, in units of the cell vectors:
1 Er 0.118 0.882 0.935
2 Er 0.382 0.618 0.435
3 Er 0.618 0.382 0.565
4 Er 0.882 0.118 0.065
5 Ag 0.000 0.000 0.500
6 Ag 0.027 0.473 0.750
7 Ag 0.473 0.027 0.250
8 Ag 0.500 0.500 0.000
9 Ag 0.527 0.973 0.750
10 Ag 0.973 0.527 0.250
11 Hg 0.182 0.818 0.531
12 Hg 0.214 0.286 0.750
13 Hg 0.286 0.214 0.250
14 Hg 0.318 0.682 0.031
15 Hg 0.682 0.318 0.969
16 Hg 0.714 0.786 0.750
17 Hg 0.786 0.714 0.250
18 Hg 0.818 0.182 0.469

Top 6 peaks for 2θ = 15–90°, low angle first:
30.77 deg, intensity 29; 32.66 deg, intensity 39; 33.44 deg, intensity 27; 34.09 deg, intensity 64; 36.08 deg, intensity 100; 36.26 deg, intensity 25

---

Record 2
Er3Ag4Hg2: simulated powder diffraction line list (a wavelength of 1.5418 Å), based on a crystal structure in Alexandria, relaxed with GGA-PBE.
Kinematic intensities with the Lorentz-polarization factor, no thermal factor.

Structural model:
a b c (Å): 8.995 8.995 5.272
angles (deg): 98.35 98.35 76.67
Sites, in units of the cell vectors:
1 Er 0.131 0.869 0.750
2 Er 0.212 0.457 0.922
3 Er 0.457 0.212 0.422
4 Er 0.543 0.788 0.578
5 Er 0.788 0.543 0.078
6 Er 0.869 0.131 0.250
7 Ag 0.096 0.355 0.368
8 Ag 0.327 0.564 0.478
9 Ag 0.355 0.096 0.868
10 Ag 0.436 0.673 0.022
11 Ag 0.564 0.327 0.978
12 Ag 0.645 0.904 0.132
13 Ag 0.673 0.436 0.522
14 Ag 0.904 0.645 0.632
15 Hg 0.012 0.759 0.191
16 Hg 0.241 0.988 0.309
17 Hg 0.759 0.012 0.691
18 Hg 0.988 0.241 0.809

Top 6 peaks for 2θ = 15–90°, low angle first:
32.08 deg, intensity 76; 34.69 deg, intensity 63; 34.98 deg, intensity 60; 37.42 deg, intensity 100; 41.76 deg, intensity 37; 42.01 deg, intensity 36

---

Record 3
Er4Ag4Hg3: simulated powder diffraction line list (a wavelength of 1.5418 Å), based on a crystal structure in Alexandria, relaxed with GGA-PBE.
Kinematic intensities with the Lorentz-polarization factor, no thermal factor.

Structural model:
a b c (Å): 17.937 17.937 17.937
angles (deg): 168.03 168.03 16.95
Sites, in units of the cell vectors:
1 Er 0.050 0.050 0.000
2 Er 0.315 0.315 0.000
3 Er 0.685 0.685 0.000
4 Er 0.950 0.950 0.000
5 Ag 0.230 0.230 0.000
6 Ag 0.405 0.405 0.000
7 Ag 0.595 0.595 0.000
8 Ag 0.770 0.770 0.000
9 Hg 0.139 0.139 0.000
10 Hg 0.500 0.500 0.000
11 Hg 0.861 0.861 0.000

Top 6 peaks for 2θ = 15–90°, low angle first:
33.91 deg, intensity 66; 36.80 deg, intensity 100; 48.71 deg, intensity 24; 62.57 deg, intensity 42; 68.10 deg, intensity 14; 81.39 deg, intensity 11